This entry pairs a crystal structure of Tb2HoThP4 with its theoretical X-ray powder pattern. Radiation: Cu Kα. Structure: a DFT-relaxed cell (PBE, Alexandria).
Lines closer than 0.1° are merged.

Atomic structure:
```
Tb2HoThP4
1.0
7.006 0.000 0.000
0.000 4.056 0.000
-2.337 0.000 6.612
Tb Ho Th P
2 1 1 4
direct
0.000 0.000 0.000
0.500 0.500 0.000
0.000 0.500 0.500
0.500 0.000 0.500
0.245 0.500 0.247
0.247 0.000 0.750
0.753 0.000 0.250
0.755 0.500 0.753
```

Most intense lines, 10° ≤ 2θ ≤ 90°, sorted by position:
h k l	d/Å	2θ/deg	I (rel.)
2 0 0	3.307	27.0	93
1 1 1	2.864	31.2	100
0 2 0	2.026	44.7	37
2 0 2	2.024	44.8	37
3 1 1	1.727	53.0	42
0 0 4	1.654	55.6	19
2 2 2	1.432	65.1	12
4 0 2	1.313	71.9	13
4 2 0	1.280	74.1	22
1 1 5	1.169	82.5	15